Diffraction record for PrTm3Al8. The X-ray diffraction stick pattern is simulated, not measured: it uses DFT lattice parameters and positions (PBE) and Cu Kα, 1.54184 Å.
Neutral-atom scattering factors, no anomalous dispersion.

Peak list (6 most intense, 2θ = 5–70°, low angle first)
| two_theta | intensity |
| --- | --- |
| 18.44 | 41.9 |
| 20.87 | 34.5 |
| 32.22 | 75.4 |
| 34.90 | 100.0 |
| 37.92 | 66.2 |
| 59.19 | 42.4 |

Cell and atoms:
```
PrTm3Al8
1.0
5.5571 0.0000 0.0000
-2.7786 4.8126 0.0000
0.0000 0.0000 9.1232
Pr Tm Al
1 3 8
direct
0.0000 0.0000 0.0000
0.0000 0.0000 0.3652
0.6667 0.3333 0.4983
0.6667 0.3333 0.8619
0.1622 0.3244 0.6786
0.1622 0.8378 0.6786
0.3333 0.6667 0.4344
0.3333 0.6667 0.9299
0.5045 0.0089 0.1875
0.5045 0.4955 0.1875
0.6756 0.8378 0.6786
0.9911 0.4955 0.1875
```



Diffraction record for LiTi4Se7. The X-ray diffraction stick pattern is simulated, not measured: it uses DFT lattice parameters and positions (PBE) and Cu Kα, 1.54184 Å.
Neutral-atom scattering factors, no anomalous dispersion.

Peak list (6 most intense, 2θ = 5–70°, low angle first)
| two_theta | intensity |
| --- | --- |
| 11.81 | 18.3 |
| 31.00 | 28.5 |
| 32.78 | 100.0 |
| 37.47 | 25.6 |
| 49.97 | 28.9 |
| 50.58 | 40.0 |

Cell and atoms:
```
LiTi4Se7
1.0
3.6094 0.0000 0.0000
-1.8047 3.1258 0.0000
0.0000 0.0000 22.4812
Li Ti Se
1 4 7
direct
0.0000 0.0000 0.0000
0.3333 0.6667 0.1474
0.3333 0.6667 0.4295
0.6667 0.3333 0.5705
0.6667 0.3333 0.8526
0.0000 0.0000 0.2137
0.0000 0.0000 0.5000
0.0000 0.0000 0.7863
0.3333 0.6667 0.6367
0.3333 0.6667 0.9235
0.6667 0.3333 0.0765
0.6667 0.3333 0.3633
```



Diffraction record for KPr5C2Cl10. The X-ray diffraction stick pattern is simulated, not measured: it uses DFT lattice parameters and positions (PBE) and Cu Kα, 1.54184 Å.
Neutral-atom scattering factors, no anomalous dispersion.

Peak list (6 most intense, 2θ = 5–70°, low angle first)
| two_theta | intensity |
| --- | --- |
| 11.97 | 73.4 |
| 21.59 | 100.0 |
| 23.79 | 100.0 |
| 32.55 | 55.2 |
| 36.45 | 93.3 |
| 36.55 | 81.0 |

Cell and atoms:
```
KPr5C2Cl10
1.0
8.5393 0.0000 0.0000
-4.2697 7.3953 0.0000
0.0000 0.0000 15.4968
K Pr C Cl
2 10 4 20
direct
0.0000 0.0000 0.0000
0.0000 0.0000 0.5000
0.0342 0.4134 0.2012
0.3333 0.6667 0.0047
0.3333 0.6667 0.3967
0.3792 0.9658 0.2012
0.4134 0.3792 0.7012
0.5866 0.6208 0.2012
0.6208 0.0342 0.7012
0.6667 0.3333 0.5047
0.6667 0.3333 0.8967
0.9658 0.5866 0.7012
0.3333 0.6667 0.1531
0.3333 0.6667 0.2463
0.6667 0.3333 0.6531
0.6667 0.3333 0.7463
0.0025 0.3265 0.3817
0.0110 0.2544 0.6776
0.0218 0.6372 0.5177
0.2434 0.9890 0.6776
0.2544 0.2434 0.1776
0.3240 0.9975 0.3817
0.3265 0.3240 0.8817
0.3333 0.6667 0.7458
0.3628 0.3846 0.5177
0.3846 0.0218 0.0177
0.6154 0.9782 0.5177
0.6372 0.6154 0.0177
0.6667 0.3333 0.2458
0.6735 0.6760 0.3817
0.6760 0.0025 0.8817
0.7456 0.7566 0.6776
0.7566 0.0110 0.1776
0.9782 0.3628 0.0177
0.9890 0.7456 0.1776
0.9975 0.6735 0.8817
```



Diffraction record for YHoSiGe. The X-ray diffraction stick pattern is simulated, not measured: it uses DFT lattice parameters and positions (PBE) and Cu Kα, 1.54184 Å.
Neutral-atom scattering factors, no anomalous dispersion.

Peak list (6 most intense, 2θ = 5–70°, low angle first)
| two_theta | intensity |
| --- | --- |
| 28.41 | 29.9 |
| 32.20 | 100.0 |
| 32.86 | 45.6 |
| 33.78 | 30.9 |
| 40.38 | 50.8 |
| 42.27 | 25.0 |

Cell and atoms:
```
YHoSiGe
1.0
3.8985 0.0000 0.0000
0.0000 4.2759 0.0000
0.0000 0.0000 10.6135
Y Ho Si Ge
2 2 2 2
direct
0.0000 0.0000 0.0000
0.0000 0.5000 0.5000
0.5000 0.0000 0.7213
0.5000 0.5000 0.2213
0.0000 0.0000 0.2779
0.0000 0.5000 0.7779
0.5000 0.0000 0.4401
0.5000 0.5000 0.9401
```



Diffraction record for MgIn6Bi2. The X-ray diffraction stick pattern is simulated, not measured: it uses DFT lattice parameters and positions (PBE) and Cu Kα, 1.54184 Å.
Neutral-atom scattering factors, no anomalous dispersion.

Peak list (6 most intense, 2θ = 5–70°, low angle first)
| two_theta | intensity |
| --- | --- |
| 30.54 | 45.9 |
| 31.23 | 56.3 |
| 31.52 | 79.4 |
| 32.92 | 78.3 |
| 33.50 | 100.0 |
| 38.74 | 53.6 |

Cell and atoms:
```
MgIn6Bi2
1.0
6.3590 -5.7278 0.0000
6.3590 5.7278 0.0000
-5.4312 0.0000 6.9686
Mg In Bi
2 12 4
direct
0.1844 0.8156 0.7500
0.8156 0.1844 0.2500
0.0000 0.1884 0.6769
0.0000 0.8116 0.3231
0.0669 0.3883 0.1331
0.1884 0.0000 0.1769
0.3377 0.5836 0.0283
0.3883 0.0669 0.6331
0.4164 0.6623 0.4717
0.5836 0.3377 0.5283
0.6117 0.9331 0.3669
0.6623 0.4164 0.9717
0.8116 0.0000 0.8231
0.9331 0.6117 0.8669
0.1920 0.3882 0.5484
0.3882 0.1920 0.0484
0.6118 0.8080 0.9516
0.8080 0.6118 0.4516
```



Diffraction record for Pu2GaPPt6. The X-ray diffraction stick pattern is simulated, not measured: it uses DFT lattice parameters and positions (PBE) and Cu Kα, 1.54184 Å.
Neutral-atom scattering factors, no anomalous dispersion.

Peak list (6 most intense, 2θ = 5–70°, low angle first)
| two_theta | intensity |
| --- | --- |
| 30.10 | 92.7 |
| 34.24 | 35.9 |
| 38.66 | 100.0 |
| 39.05 | 66.6 |
| 42.33 | 95.8 |
| 58.98 | 39.4 |

Cell and atoms:
```
Pu2GaPPt6
1.0
5.5589 0.0000 0.0000
0.0000 8.5332 0.0000
0.0000 0.0000 8.2663
Pu Ga P Pt
4 2 2 12
direct
0.2500 0.0116 0.2288
0.2500 0.4884 0.2288
0.7500 0.5116 0.7712
0.7500 0.9884 0.7712
0.2500 0.7500 0.7800
0.7500 0.2500 0.2200
0.2500 0.2500 0.7443
0.7500 0.7500 0.2557
0.0006 0.7500 0.5138
0.0024 0.7500 0.0320
0.2500 0.0048 0.6183
0.2500 0.4952 0.6183
0.4976 0.7500 0.0320
0.4994 0.7500 0.5138
0.5006 0.2500 0.4862
0.5024 0.2500 0.9680
0.7500 0.5048 0.3817
0.7500 0.9952 0.3817
0.9976 0.2500 0.9680
0.9994 0.2500 0.4862
```



Diffraction record for Y3NpSe6. The X-ray diffraction stick pattern is simulated, not measured: it uses DFT lattice parameters and positions (PBE) and Cu Kα, 1.54184 Å.
Neutral-atom scattering factors, no anomalous dispersion.

Peak list (6 most intense, 2θ = 5–70°, low angle first)
| two_theta | intensity |
| --- | --- |
| 16.78 | 52.1 |
| 23.02 | 47.5 |
| 28.16 | 85.5 |
| 33.92 | 33.8 |
| 37.04 | 100.0 |
| 43.27 | 65.0 |

Cell and atoms:
```
Y3NpSe6
1.0
3.6218 2.0910 6.5397
-3.6218 2.0910 6.5397
0.0000 -4.1821 6.5397
Y Np Se
3 1 6
direct
0.0000 0.0000 0.0000
0.1957 0.1957 0.1957
0.6939 0.6939 0.6939
0.4990 0.4990 0.4990
0.0904 0.4037 0.7990
0.2931 0.9060 0.5965
0.4037 0.7990 0.0904
0.5965 0.2931 0.9060
0.7990 0.0904 0.4037
0.9060 0.5965 0.2931
```



Diffraction record for LaRe2Mo. The X-ray diffraction stick pattern is simulated, not measured: it uses DFT lattice parameters and positions (PBE) and Cu Kα, 1.54184 Å.
Neutral-atom scattering factors, no anomalous dispersion.

Peak list (6 most intense, 2θ = 5–70°, low angle first)
| two_theta | intensity |
| --- | --- |
| 25.19 | 35.3 |
| 35.19 | 91.8 |
| 36.64 | 61.0 |
| 38.46 | 100.0 |
| 42.56 | 65.4 |
| 57.40 | 33.3 |

Cell and atoms:
```
LaRe2Mo
1.0
2.9085 0.0000 0.0000
0.0000 4.2470 0.0000
-1.1569 0.0000 6.3797
La Re Mo
1 2 1
direct
0.0000 0.0000 0.0000
0.2596 0.5000 0.6814
0.7404 0.5000 0.3186
0.5000 0.0000 0.5000
```



Diffraction record for Pm5Re2Si5. The X-ray diffraction stick pattern is simulated, not measured: it uses DFT lattice parameters and positions (PBE) and Cu Kα, 1.54184 Å.
Neutral-atom scattering factors, no anomalous dispersion.

Peak list (6 most intense, 2θ = 5–70°, low angle first)
| two_theta | intensity |
| --- | --- |
| 23.82 | 86.1 |
| 29.02 | 72.8 |
| 32.05 | 100.0 |
| 33.34 | 90.6 |
| 36.87 | 86.0 |
| 41.58 | 72.1 |

Cell and atoms:
```
Pm5Re2Si5
1.0
6.2484 -2.1721 0.0000
6.2484 2.1721 0.0000
-1.3711 0.0000 10.0096
Pm Re Si
5 2 5
direct
0.0000 0.0000 0.0000
0.1487 0.1487 0.5901
0.2762 0.2762 0.8963
0.7238 0.7238 0.1037
0.8513 0.8513 0.4099
0.4219 0.4219 0.6915
0.5781 0.5781 0.3085
0.1550 0.1550 0.2805
0.4012 0.4012 0.1769
0.5000 0.5000 0.5000
0.5988 0.5988 0.8231
0.8450 0.8450 0.7195
```



Diffraction record for Zr2Zn2H. The X-ray diffraction stick pattern is simulated, not measured: it uses DFT lattice parameters and positions (PBE) and Cu Kα, 1.54184 Å.
Neutral-atom scattering factors, no anomalous dispersion.

Peak list (6 most intense, 2θ = 5–70°, low angle first)
| two_theta | intensity |
| --- | --- |
| 21.39 | 16.5 |
| 30.43 | 14.8 |
| 36.47 | 26.1 |
| 38.85 | 100.0 |
| 67.23 | 18.6 |
| 68.56 | 12.5 |

Cell and atoms:
```
Zr2Zn2H
1.0
5.8748 0.0000 0.0000
0.0000 5.8748 0.0000
0.0000 0.0000 4.9269
Zr Zn H
4 4 2
direct
0.1657 0.3343 0.0000
0.3343 0.8343 0.0000
0.6657 0.1657 0.0000
0.8343 0.6657 0.0000
0.1523 0.6523 0.5000
0.3477 0.1523 0.5000
0.6523 0.8477 0.5000
0.8477 0.3477 0.5000
0.0000 0.0000 0.0000
0.5000 0.5000 0.0000
```



Diffraction record for Tm5Ga3. The X-ray diffraction stick pattern is simulated, not measured: it uses DFT lattice parameters and positions (PBE) and Cu Kα, 1.54184 Å.
Neutral-atom scattering factors, no anomalous dispersion.

Peak list (6 most intense, 2θ = 5–70°, low angle first)
| two_theta | intensity |
| --- | --- |
| 32.24 | 49.9 |
| 34.71 | 30.3 |
| 35.03 | 92.4 |
| 35.46 | 100.0 |
| 35.59 | 46.4 |
| 36.71 | 31.6 |

Cell and atoms:
```
Tm5Ga3
1.0
4.2468 -7.3192 0.0000
4.2468 7.3192 0.0000
-0.1684 0.0000 6.3859
Tm Ga
10 6
direct
0.1448 0.8552 0.0000
0.1854 0.8146 0.5000
0.2541 0.4937 0.7641
0.2687 0.2687 0.2715
0.4937 0.2541 0.7641
0.5063 0.7459 0.2359
0.7313 0.7313 0.7285
0.7459 0.5063 0.2359
0.8146 0.1854 0.5000
0.8552 0.1448 0.0000
0.0908 0.0908 0.6878
0.0980 0.5025 0.2106
0.4975 0.9020 0.7894
0.5025 0.0980 0.2106
0.9020 0.4975 0.7894
0.9092 0.9092 0.3122
```



Diffraction record for NaLaBe2O4. The X-ray diffraction stick pattern is simulated, not measured: it uses DFT lattice parameters and positions (PBE) and Cu Kα, 1.54184 Å.
Neutral-atom scattering factors, no anomalous dispersion.

Peak list (6 most intense, 2θ = 5–70°, low angle first)
| two_theta | intensity |
| --- | --- |
| 21.34 | 100.0 |
| 22.48 | 64.6 |
| 32.00 | 23.5 |
| 36.69 | 67.4 |
| 38.78 | 49.5 |
| 43.46 | 45.2 |

Cell and atoms:
```
NaLaBe2O4
1.0
5.5935 0.0000 0.0000
0.0000 5.5935 0.0000
0.0000 0.0000 6.2386
Na La Be O
2 2 4 8
direct
0.0000 0.0000 0.0000
0.5000 0.5000 0.5000
0.0000 0.0000 0.5000
0.5000 0.5000 0.0000
0.0000 0.5000 0.2500
0.0000 0.5000 0.7500
0.5000 0.0000 0.2500
0.5000 0.0000 0.7500
0.1840 0.3160 0.2500
0.1840 0.6840 0.7500
0.3160 0.1840 0.7500
0.3160 0.8160 0.2500
0.6840 0.1840 0.2500
0.6840 0.8160 0.7500
0.8160 0.3160 0.7500
0.8160 0.6840 0.2500
```